Co2Re5B4: calculated powder diffraction line list (CuKα), based on the GGA-PBE geometry in Alexandria.
Neutral-atom scattering factors, no anomalous dispersion.

Structural model:
abc: 7.616 7.634 8.069
angles: 90.00 90.00 90.00
Space group Cmmm (No. 65)
Symmetry-distinct sites (fractional):
Co 0.000 0.159 0.000 x4
Co 0.250 0.250 0.500 x4
Re 0.000 0.323 0.282 x8
Re 0.164 0.500 0.000 x4
Re 0.174 0.000 0.284 x8
B 0.000 0.123 0.500 x4
B 0.121 0.500 0.500 x4
B 0.250 0.250 0.132 x8

Largest 6 diffraction maxima, low angle first, 15 to 90 degrees two-theta:
(0 0 2), 2θ = 22.03°, I = 188; (0 0 3), 2θ = 33.27°, I = 444; (3 1 1), 2θ = 38.99°, I = 245; (3 1 2), 2θ = 43.74°, I = 1000; (3 1 5), 2θ = 70.18°, I = 220; (3 5 2), 2θ = 76.59°, I = 231